Entry 1:
This entry pairs a crystal structure of PbC4O4 with its calculated powder X-ray diffraction pattern. Radiation: Cu Ka. Structure: a structure optimized by DFT (GGA-PBE).
Kinematic intensities with the Lorentz-polarization factor, no thermal factor.

Peak list (12 most intense, 15 to 90 degrees two-theta, in order of rising 2θ)
d/Å	I (rel.)
3.737	100
3.696	63
3.180	36
3.131	39
2.642	27
2.586	19
2.422	25
2.400	27
2.149	55
2.126	31
2.032	20
1.776	18

Structure:
```
PbC4O4
1.0
-3.7365 3.7365 5.1715
3.7365 -3.7365 5.1715
3.7365 3.7365 -5.1715
Pb C O
2 8 8
Cartesian
3.7365 1.8683 1.2929 Pb
0.0000 1.8683 3.8786 Pb
3.7365 -1.8683 3.2696 C
3.7365 1.8683 -1.8183 C
3.7365 -1.8683 4.4876 C
0.0000 1.8683 0.7674 C
3.7365 1.8683 4.4041 C
0.0000 5.6048 0.6839 C
0.0000 1.8683 6.9898 C
0.0000 5.6048 1.9019 C
3.7365 -0.7526 1.2043 O
3.7365 2.9839 -1.2043 O
1.1157 1.8683 1.3814 O
2.6208 -1.8683 6.5529 O
1.1157 5.6048 -1.3814 O
2.6208 1.8683 3.7900 O
0.0000 0.7526 6.3758 O
0.0000 4.4891 3.9672 O
```

---

Entry 2:
This entry pairs a crystal structure of CaIrO3 with its calculated powder X-ray diffraction pattern. Radiation: Cu Ka. Structure: a structure optimized by DFT (GGA-PBE).
Kinematic intensities with the Lorentz-polarization factor, no thermal factor.

Peak list (12 most intense, 15 to 90 degrees two-theta, in order of rising 2θ)
d/Å	I (rel.)
3.900	68
3.868	32
2.846	26
2.747	100
2.678	23
1.950	23
1.934	13
1.742	19
1.733	15
1.623	19
1.559	23
1.373	13

Structure:
```
CaIrO3
1.0
5.6915 0.0000 0.0000
0.0000 7.7369 0.0000
0.0000 0.0000 5.3560
Ca Ir O
4 4 12
Cartesian
0.3733 1.9342 0.1060 Ca
2.4725 5.8027 2.7840 Ca
3.2190 1.9342 2.5720 Ca
5.3182 5.8027 5.2500 Ca
0.0000 0.0000 2.6780 Ir
0.0000 3.8684 2.6780 Ir
2.8457 0.0000 0.0000 Ir
2.8457 3.8684 0.0000 Ir
0.2433 5.8027 2.0930 O
1.1120 4.2834 4.3460 O
1.1120 7.3219 4.3460 O
1.7338 0.4150 1.6680 O
1.7338 3.4534 1.6680 O
2.6024 1.9342 4.7710 O
3.0891 5.8027 0.5850 O
3.9577 4.2834 3.6880 O
3.9577 7.3219 3.6880 O
4.5795 0.4150 1.0100 O
4.5795 3.4534 1.0100 O
5.4482 1.9342 3.2630 O
```

---

Entry 3:
This entry pairs a crystal structure of Y9U5O28 with its calculated powder X-ray diffraction pattern. Radiation: Cu Ka. Structure: a structure optimized by DFT (GGA-PBE).
Kinematic intensities with the Lorentz-polarization factor, no thermal factor.

Peak list (12 most intense, 15 to 90 degrees two-theta, in order of rising 2θ)
d/Å	I (rel.)
5.477	16
3.141	52
3.092	100
3.053	49
2.679	59
1.917	19
1.911	21
1.898	18
1.894	18
1.876	17
1.872	17
1.632	15

Structure:
```
Y9U5O28
1.0
6.5311 0.0000 0.0000
2.1183 7.2944 0.0000
2.0271 3.0276 11.3083
Y U O
9 5 28
Cartesian
0.0000 0.0000 0.0000 Y
3.1345 4.7675 8.0923 Y
4.1951 8.4111 8.0728 Y
3.1731 2.8720 4.8653 Y
4.3130 4.5872 1.6173 Y
6.3636 5.7348 9.6910 Y
7.5035 7.4499 6.4430 Y
6.4814 1.9108 3.2355 Y
7.5421 5.5545 3.2160 Y
1.0592 3.6472 0.0000 U
4.2265 6.5194 4.8592 U
3.2519 0.9689 1.6378 U
7.4247 9.3531 9.6705 U
6.4500 3.8026 6.4491 U
1.9814 3.1369 6.8678 O
2.1128 5.1884 1.0898 O
3.1720 6.7336 6.7976 O
1.1933 1.6079 1.2348 O
4.1516 6.4548 9.4283 O
2.1520 1.1669 3.5925 O
3.2805 4.9667 3.7276 O
3.2626 2.7266 9.3530 O
5.2497 8.0428 5.9552 O
3.2231 2.8676 0.4463 O
4.3962 6.6682 0.4496 O
4.3533 4.5274 6.0901 O
5.3318 6.3155 2.8735 O
4.2286 2.5130 2.7943 O
6.4480 7.8089 8.5140 O
5.3448 4.0065 8.4348 O
6.3232 5.7945 5.2182 O
6.2804 3.6537 10.8587 O
7.4535 7.4543 10.8620 O
5.4269 2.2791 5.3531 O
7.4139 7.5954 1.9553 O
7.3961 5.3553 7.5807 O
8.5246 9.1550 7.7158 O
6.5250 3.8671 1.8800 O
9.4832 8.7140 10.0735 O
7.5046 3.5884 4.5107 O
8.5638 5.1335 10.2185 O
8.6952 7.1850 4.4405 O
```

---

Entry 4:
This entry pairs a crystal structure of NdDyTl2 with its calculated powder X-ray diffraction pattern. Radiation: Cu Ka. Structure: a structure optimized by DFT (GGA-PBE).
Kinematic intensities with the Lorentz-polarization factor, no thermal factor.

Peak list (10 most intense, 15 to 90 degrees two-theta, in order of rising 2θ)
d/Å	I (rel.)
3.856	2
2.727	100
2.226	1
1.928	18
1.724	1
1.574	39
1.363	12
1.285	1
1.219	17
1.113	4

Structure:
```
NdDyTl2
1.0
0.0000 3.8560 3.8560
3.8560 0.0000 3.8560
3.8560 3.8560 0.0000
Nd Dy Tl
1 1 2
Cartesian
0.0000 0.0000 0.0000 Nd
3.8560 3.8560 3.8560 Dy
1.9280 1.9280 1.9280 Tl
5.7840 5.7840 5.7840 Tl
```

---

Entry 5:
This entry pairs a crystal structure of VS2 with its calculated powder X-ray diffraction pattern. Radiation: Cu Ka. Structure: a structure optimized by DFT (GGA-PBE).
Kinematic intensities with the Lorentz-polarization factor, no thermal factor.

Peak list (12 most intense, 15 to 90 degrees two-theta, in order of rising 2θ)
d/Å	I (rel.)
4.762	76
3.039	100
2.836	11
2.355	14
1.959	13
1.916	22
1.836	38
1.621	24
1.526	10
1.486	7
1.355	6
1.194	9

Structure:
```
VS2
1.0
-2.7091 2.7091 4.9918
2.7091 -2.7091 4.9918
2.7091 2.7091 -4.9918
V S
2 4
Cartesian
0.0000 0.0000 0.0000 V
0.0000 2.7091 2.4959 V
4.0637 1.2330 -1.2480 S
1.2330 1.3546 1.2480 S
-1.3546 1.4761 3.7439 S
1.4761 1.3546 6.2398 S
```

---

Entry 6:
This entry pairs a crystal structure of BeCdO3 with its calculated powder X-ray diffraction pattern. Radiation: Cu Ka. Structure: a structure optimized by DFT (GGA-PBE).
Kinematic intensities with the Lorentz-polarization factor, no thermal factor.

Peak list (9 most intense, 15 to 90 degrees two-theta, in order of rising 2θ)
d/Å	I (rel.)
3.615	94
2.556	100
2.087	81
1.808	43
1.617	39
1.476	36
1.278	24
1.205	19
1.143	16

Structure:
```
BeCdO3
1.0
3.6152 0.0000 0.0000
0.0000 3.6152 0.0000
0.0000 0.0000 3.6152
Be Cd O
1 1 3
Cartesian
0.0000 0.0000 0.0000 Be
1.8076 1.8076 1.8076 Cd
0.0000 0.0000 1.8076 O
0.0000 1.8076 0.0000 O
1.8076 0.0000 0.0000 O
```